# 1
For VCrP2O8F2, a DFT-relaxed cell (GGA+U, the Materials Project) gives the simulated PXRD pattern in this record (Cu Kα X-rays).
Peak positions follow from Bragg's law for the DFT cell and can differ from measured ones.

Principal peaks in the range 2θ = 10–80°, low angle first:
2θ (°)	intensity	h k l
18.2	77	0 1 -1
18.6	42	1 0 0
18.9	54	1 0 -1
23.2	35	1 -1 0
26.7	100	0 1 1
26.8	99	1 0 1
27.3	23	-1 1 1
29.1	90	1 1 -2
37.6	30	1 -2 1
56.5	22	0 3 -3

Crystal structure
```
data_VCrP2O8F2
_chemical_formula_sum 'V1 Cr1 P2 O8 F2'
_cell_length_a 5.105
_cell_length_b 5.285
_cell_length_c 7.334
_cell_angle_alpha 109.45
_cell_angle_beta 107.30
_cell_angle_gamma 95.01
_space_group_name_H-M_alt 'P -1'
_space_group_IT_number 2
loop_
_space_group_symop_operation_xyz
'x,y,z'
'-x,-y,-z'
loop_
_atom_site_label
_atom_site_fract_x
_atom_site_fract_y
_atom_site_fract_z
V1 0.000 0.000 0.000
Cr1 0.500 0.500 0.500
P1 0.419 0.116 0.750
O1 0.258 0.131 0.905
O2 0.258 0.821 0.118
O3 0.336 0.826 0.588
O4 0.355 0.341 0.669
F1 0.146 0.313 0.253
```

***

# 2
For CsMnH5S2O10, a DFT-relaxed cell (GGA+U, the Materials Project) gives the simulated PXRD pattern in this record (Cu Kα X-rays).
Peak positions follow from Bragg's law for the DFT cell and can differ from measured ones.

Principal peaks in the range 2θ = 10–80°, low angle first:
2θ (°)	intensity	h k l
15.4	50	0 1 0
20.8	31	0 1 1
22.7	100	0 1 -2
24.4	44	1 -1 1
25.3	70	1 1 0
26.3	60	1 0 -2
29.2	33	0 1 2
29.9	25	1 0 2
30.1	37	1 -1 2
38.0	26	1 2 0

Crystal structure
```
data_CsMnH5S2O10
_chemical_formula_sum 'Cs1 Mn1 H5 S2 O10'
_cell_length_a 4.863
_cell_length_b 5.984
_cell_length_c 8.777
_cell_angle_alpha 104.21
_cell_angle_beta 95.93
_cell_angle_gamma 94.40
_space_group_name_H-M_alt 'P 1'
_space_group_IT_number 1
loop_
_space_group_symop_operation_xyz
'x,y,z'
loop_
_atom_site_label
_atom_site_fract_x
_atom_site_fract_y
_atom_site_fract_z
Cs1 0.000 0.000 0.000
Mn1 0.001 0.002 0.512
H1 0.034 0.643 0.670
H2 0.351 0.722 0.662
H3 0.501 0.526 0.023
H4 0.652 0.268 0.352
H5 0.966 0.345 0.342
S1 0.433 0.683 0.274
S2 0.569 0.312 0.743
O1 0.164 0.771 0.658
O2 0.272 0.881 0.323
O3 0.281 0.455 0.259
O4 0.306 0.283 0.634
O5 0.497 0.693 0.103
O6 0.504 0.311 0.908
O7 0.700 0.712 0.376
O8 0.725 0.536 0.747
O9 0.731 0.111 0.691
O10 0.837 0.214 0.350
```

***

# 3
For MgV12Zn6O24, a DFT-relaxed cell (GGA+U, the Materials Project) gives the simulated PXRD pattern in this record (Cu Kα X-rays).
Peak positions follow from Bragg's law for the DFT cell and can differ from measured ones.

Principal peaks in the range 2θ = 10–80°, low angle first:
2θ (°)	intensity	h k l
28.8	25	1 1 4
29.1	33	1 2 0
29.2	26	2 1 0
33.8	62	1 2 3
34.3	26	2 1 3
34.4	100	1 0 5
34.5	50	1 -1 3
34.6	27	1 2 -3
42.0	25	2 0 4
59.8	35	2 2 8

Crystal structure
```
data_MgV12Zn6O24
_chemical_formula_sum 'Mg1 V12 Zn6 O24'
_cell_length_a 6.107
_cell_length_b 6.141
_cell_length_c 15.097
_cell_angle_alpha 88.50
_cell_angle_beta 89.95
_cell_angle_gamma 60.31
_space_group_name_H-M_alt 'P 1'
_space_group_IT_number 1
loop_
_space_group_symop_operation_xyz
'x,y,z'
loop_
_atom_site_label
_atom_site_fract_x
_atom_site_fract_y
_atom_site_fract_z
Mg1 0.000 0.000 0.000
V1 0.036 0.427 0.615
V2 0.037 0.928 0.615
V3 0.199 0.110 0.290
V4 0.200 0.603 0.410
V5 0.215 0.574 0.781
V6 0.371 0.260 0.951
V7 0.425 0.721 0.937
V8 0.513 0.973 0.120
V9 0.539 0.427 0.615
V10 0.692 0.109 0.291
V11 0.692 0.619 0.291
V12 0.857 0.718 0.937
Zn1 0.193 0.615 0.160
Zn2 0.534 0.935 0.500
Zn3 0.539 0.924 0.735
Zn4 0.818 0.359 0.103
Zn5 0.867 0.269 0.454
Zn6 0.881 0.241 0.815
O1 0.020 0.953 0.364
O2 0.031 0.426 0.365
O3 0.055 0.891 0.873
O4 0.058 0.421 0.861
O5 0.179 0.110 0.542
O6 0.187 0.628 0.023
O7 0.192 0.136 0.045
O8 0.201 0.601 0.539
O9 0.359 0.284 0.691
O10 0.359 0.738 0.694
O11 0.366 0.808 0.208
O12 0.376 0.261 0.213
O13 0.524 0.423 0.861
O14 0.532 0.938 0.362
O15 0.537 0.930 0.869
O16 0.546 0.437 0.365
O17 0.669 0.662 0.035
O18 0.672 0.136 0.046
O19 0.712 0.111 0.542
O20 0.714 0.577 0.541
O21 0.825 0.794 0.208
O22 0.856 0.288 0.226
O23 0.875 0.253 0.686
O24 0.907 0.738 0.695
```

***

# 4
For Li9Co7O16, a DFT-relaxed cell (GGA+U, the Materials Project) gives the simulated PXRD pattern in this record (Cu Kα X-rays).
Peak positions follow from Bragg's law for the DFT cell and can differ from measured ones.

Principal peaks in the range 2θ = 10–80°, low angle first:
2θ (°)	intensity	h k l
18.5	100	0 0 2
36.3	14	1 2 0
36.5	13	-1 2 1
36.9	13	2 0 1
43.9	27	1 2 -2
44.1	27	-1 2 3
44.5	26	2 0 3
48.3	9	2 0 -3
63.7	14	1 2 6
64.1	7	0 4 1

Crystal structure
```
data_Li9Co7O16
_chemical_formula_sum 'Li9 Co7 O16'
_cell_length_a 4.954
_cell_length_b 5.808
_cell_length_c 9.740
_cell_angle_alpha 81.47
_cell_angle_beta 85.38
_cell_angle_gamma 89.59
_space_group_name_H-M_alt 'P -1'
_space_group_IT_number 2
loop_
_space_group_symop_operation_xyz
'x,y,z'
'-x,-y,-z'
loop_
_atom_site_label
_atom_site_fract_x
_atom_site_fract_y
_atom_site_fract_z
Li1 0.000 0.000 0.000
Li2 0.124 0.692 0.245
Li3 0.126 0.186 0.245
Li4 0.370 0.061 0.755
Li5 0.371 0.563 0.753
Co1 0.000 0.500 0.000
Co2 0.249 0.373 0.499
Co3 0.250 0.877 0.501
Co4 0.499 0.754 0.000
O1 0.052 0.595 0.618
O2 0.062 0.091 0.622
O3 0.192 0.756 0.893
O4 0.193 0.298 0.893
O5 0.315 0.474 0.107
O6 0.346 0.974 0.108
O7 0.441 0.152 0.379
O8 0.443 0.658 0.383
```

***

What did the fourth record say?
For Li9Co7O16, a DFT-relaxed cell (GGA+U, the Materials Project) gives the simulated PXRD pattern in this record (Cu Kα X-rays).
Peak positions follow from Bragg's law for the DFT cell and can differ from measured ones.

Principal peaks in the range 2θ = 10–80°, low angle first:
2θ (°)	intensity	h k l
18.5	100	0 0 2
36.3	14	1 2 0
36.5	13	-1 2 1
36.9	13	2 0 1
43.9	27	1 2 -2
44.1	27	-1 2 3
44.5	26	2 0 3
48.3	9	2 0 -3
63.7	14	1 2 6
64.1	7	0 4 1

Crystal structure
```
data_Li9Co7O16
_chemical_formula_sum 'Li9 Co7 O16'
_cell_length_a 4.954
_cell_length_b 5.808
_cell_length_c 9.740
_cell_angle_alpha 81.47
_cell_angle_beta 85.38
_cell_angle_gamma 89.59
_space_group_name_H-M_alt 'P -1'
_space_group_IT_number 2
loop_
_space_group_symop_operation_xyz
'x,y,z'
'-x,-y,-z'
loop_
_atom_site_label
_atom_site_fract_x
_atom_site_fract_y
_atom_site_fract_z
Li1 0.000 0.000 0.000
Li2 0.124 0.692 0.245
Li3 0.126 0.186 0.245
Li4 0.370 0.061 0.755
Li5 0.371 0.563 0.753
Co1 0.000 0.500 0.000
Co2 0.249 0.373 0.499
Co3 0.250 0.877 0.501
Co4 0.499 0.754 0.000
O1 0.052 0.595 0.618
O2 0.062 0.091 0.622
O3 0.192 0.756 0.893
O4 0.193 0.298 0.893
O5 0.315 0.474 0.107
O6 0.346 0.974 0.108
O7 0.441 0.152 0.379
O8 0.443 0.658 0.383
```